Diffraction record for Ce4DyO9. The powder diffractogram is calculated, not measured: it uses a DFT-relaxed cell (GGA-PBE, Alexandria) and Cu Kα (λ = 1.5418 Å).
Neutral-atom scattering factors, no anomalous dispersion.

Crystal structure
```
data_Ce4DyO9
_chemical_formula_sum 'Ce8 Dy2 O18'
_cell_length_a 3.8128
_cell_length_b 19.5337
_cell_length_c 5.5205
_cell_angle_alpha 90.00
_cell_angle_beta 90.00
_cell_angle_gamma 90.00
_space_group_name_H-M_alt 'I m m 2'
_space_group_IT_number 44
loop_
_space_group_symop_operation_xyz
'x,y,z'
'-x,-y,z'
'-x,y,z'
'x,-y,z'
'x+1/2,y+1/2,z+1/2'
'-x+1/2,-y+1/2,z+1/2'
'-x+1/2,y+1/2,z+1/2'
'x+1/2,-y+1/2,z+1/2'
loop_
_atom_site_label
_atom_site_type_symbol
_atom_site_fract_x
_atom_site_fract_y
_atom_site_fract_z
Ce1 Ce 0.0000 0.1054 0.0000
Ce2 Ce 0.0000 0.3012 0.9915
Dy1 Dy 0.0000 0.5000 0.9405
O1 O 0.0000 0.0000 0.2337
O2 O 0.0000 0.1963 0.7446
O3 O 0.0000 0.2023 0.2426
O4 O 0.0000 0.3959 0.7388
O5 O 0.0000 0.4179 0.2437
```

Main lines, in order of falling intensity (2θ = 10–80°):
(hkl)	Position (°2θ)	I_rel
0 5 1	27.98	100
1 0 1	28.45	97
1 5 2	46.82	65
1 5 0	32.82	42
1 10 1	55.42	41
2 5 1	56.22	30
0 0 2	32.44	19
2 0 0	47.71	17
0 10 0	46.49	17
0 5 3	55.17	13